Calculated powder X-ray diffraction pattern of Sr3Ga2O6 for Cu Kα X-rays, from a DFT-relaxed cell (GGA-PBE, Alexandria).
Intensities are scaled so that the largest is 1000.

```
data_Sr3Ga2O6
_cell_length_a 10.552
_cell_length_b 10.552
_cell_length_c 10.552
_cell_angle_alpha 158.70
_cell_angle_beta 158.70
_cell_angle_gamma 30.31
_symmetry_space_group_name_H-M 'P 1'
_symmetry_Int_Tables_number 1
loop_
_symmetry_equiv_pos_as_xyz
'x,y,z'
loop_
_atom_site_label
_atom_site_type_symbol
_atom_site_fract_x
_atom_site_fract_y
_atom_site_fract_z
Sr1 Sr 0.000 0.000 0.000
Sr2 Sr 0.182 0.182 0.000
Sr3 Sr 0.818 0.818 0.000
Ga1 Ga 0.396 0.396 0.000
Ga2 Ga 0.604 0.604 0.000
O1 O 0.084 0.584 0.500
O2 O 0.303 0.303 0.000
O3 O 0.416 0.916 0.500
O4 O 0.584 0.084 0.500
O5 O 0.697 0.697 0.000
O6 O 0.916 0.416 0.500
```

Top 10 peaks for 10° ≤ 2θ ≤ 90°, low angle first:
d 2.818, intensity 1000; d 2.758, intensity 556; d 2.141, intensity 164; d 2.037, intensity 108; d 1.950, intensity 353; d 1.639, intensity 141; d 1.604, intensity 372; d 1.409, intensity 120; d 1.379, intensity 105; d 1.234, intensity 93

***

Calculated powder X-ray diffraction pattern of SrGa4O7 for Cu Kα X-rays, from a DFT-relaxed cell (GGA-PBE, Alexandria).
Intensities are scaled so that the largest is 1000.

```
data_SrGa4O7
_cell_length_a 13.301
_cell_length_b 5.322
_cell_length_c 5.063
_cell_angle_alpha 90.00
_cell_angle_beta 90.00
_cell_angle_gamma 90.00
_symmetry_space_group_name_H-M 'P 1'
_symmetry_Int_Tables_number 1
loop_
_symmetry_equiv_pos_as_xyz
'x,y,z'
loop_
_atom_site_label
_atom_site_type_symbol
_atom_site_fract_x
_atom_site_fract_y
_atom_site_fract_z
Sr1 Sr 0.000 0.118 0.000
Sr2 Sr 0.500 0.882 0.500
Ga1 Ga 0.118 0.666 0.446
Ga2 Ga 0.249 0.178 0.428
Ga3 Ga 0.251 0.822 0.928
Ga4 Ga 0.382 0.334 0.946
Ga5 Ga 0.618 0.334 0.946
Ga6 Ga 0.749 0.822 0.928
Ga7 Ga 0.751 0.178 0.428
Ga8 Ga 0.882 0.666 0.446
O1 O 0.000 0.799 0.323
O2 O 0.125 0.750 0.800
O3 O 0.129 0.332 0.349
O4 O 0.229 0.845 0.297
O5 O 0.271 0.155 0.797
O6 O 0.371 0.668 0.849
O7 O 0.375 0.250 0.300
O8 O 0.500 0.201 0.823
O9 O 0.625 0.250 0.300
O10 O 0.629 0.668 0.849
O11 O 0.729 0.155 0.797
O12 O 0.771 0.845 0.297
O13 O 0.871 0.332 0.349
O14 O 0.875 0.750 0.800
```

Top 10 peaks for 10° ≤ 2θ ≤ 90°, low angle first:
d 3.536, intensity 494; d 3.407, intensity 257; d 3.335, intensity 508; d 3.212, intensity 1000; d 2.820, intensity 547; d 2.531, intensity 450; d 2.355, intensity 272; d 2.220, intensity 317; d 1.662, intensity 293; d 1.565, intensity 255

***

Calculated powder X-ray diffraction pattern of Sr3TbGa2O8 for Cu Kα X-rays, from a DFT-relaxed cell (GGA-PBE, Alexandria).
Intensities are scaled so that the largest is 1000.

```
data_Sr3TbGa2O8
_cell_length_a 5.933
_cell_length_b 5.933
_cell_length_c 7.277
_cell_angle_alpha 90.00
_cell_angle_beta 90.00
_cell_angle_gamma 120.00
_symmetry_space_group_name_H-M 'P 1'
_symmetry_Int_Tables_number 1
loop_
_symmetry_equiv_pos_as_xyz
'x,y,z'
loop_
_atom_site_label
_atom_site_type_symbol
_atom_site_fract_x
_atom_site_fract_y
_atom_site_fract_z
Sr1 Sr 0.000 0.000 0.000
Sr2 Sr 0.333 0.667 0.638
Sr3 Sr 0.667 0.333 0.362
Tb1 Tb 0.000 0.000 0.500
Ga1 Ga 0.333 0.667 0.200
Ga2 Ga 0.667 0.333 0.800
O1 O 0.170 0.341 0.312
O2 O 0.170 0.830 0.312
O3 O 0.333 0.667 0.953
O4 O 0.341 0.170 0.688
O5 O 0.659 0.830 0.312
O6 O 0.667 0.333 0.047
O7 O 0.830 0.170 0.688
O8 O 0.830 0.659 0.688
```

Top 10 peaks for 10° ≤ 2θ ≤ 90°, low angle first:
d 7.277, intensity 101; d 5.139, intensity 43; d 2.968, intensity 1000; d 2.193, intensity 62; d 2.099, intensity 245; d 1.714, intensity 368; d 1.484, intensity 164; d 1.327, intensity 149; d 1.122, intensity 66; d 1.121, intensity 104